No. 1
Calculated powder X-ray diffraction pattern
Compound: Tb6PmEr3
Radiation: Cu Kα X-rays
Structure: DFT lattice parameters and positions (PBE)
Peak positions follow from Bragg's law for the DFT cell and can differ from measured ones.

Largest 8 diffraction maxima, in order of falling intensity, 2θ from 10° to 90°:
2theta	Rel. int.	index
31.5	100	3 1 1
28.8	67	2 4 1
33.8	65	3 3 1
31.3	61	1 7 0
32.2	59	1 3 2
29.2	42	0 6 1
56.8	42	5 7 0
32.9	41	0 4 2

Cell and atoms:
a = 9.635 Å, b = 20.960 Å, c = 6.374 Å
α = 90.00°, β = 90.00°, γ = 90.00°
Space group Cmc2_1 (No. 36)
Symmetry-distinct sites (fractional):
Tb (0.000, 0.015, 0.000)
Tb (0.000, 0.301, 0.021)
Tb (0.176, 0.281, 0.483)
Tb (0.180, 0.441, 0.238)
Pm (0.000, 0.161, 0.802)
Er (0.000, 0.418, 0.715)
Er (0.169, 0.126, 0.326)

No. 2
Calculated powder X-ray diffraction pattern
Compound: Tb2Pm12Er5
Radiation: Cu Kα X-rays
Structure: DFT lattice parameters and positions (PBE)
Peak positions follow from Bragg's law for the DFT cell and can differ from measured ones.

Largest 8 diffraction maxima, in order of falling intensity, 2θ from 10° to 90°:
2theta	Rel. int.	index
31.0	100	4 2 -1
30.7	59	2 2 2
33.8	29	2 0 -3
34.8	22	6 0 1
38.4	17	0 4 0
28.5	14	3 1 -2
59.7	10	8 2 3
49.8	10	8 0 -2

Cell and atoms:
a = 16.255 Å, b = 9.376 Å, c = 8.400 Å
α = 90.00°, β = 90.23°, γ = 90.00°
Space group C2/m (No. 12)
Symmetry-distinct sites (fractional):
Tb (0.000, 0.219, 0.000)
Pm (0.050, 0.500, 0.711)
Pm (0.108, 0.280, 0.379)
Pm (0.162, 0.000, 0.129)
Pm (0.183, 0.211, 0.779)
Er (0.000, 0.000, 0.500)
Er (0.147, 0.500, 0.061)
Er (0.250, 0.000, 0.464)

No. 3
Calculated powder X-ray diffraction pattern
Compound: Tb2Pm3Er6
Radiation: Cu Kα X-rays
Structure: DFT lattice parameters and positions (PBE)
Peak positions follow from Bragg's law for the DFT cell and can differ from measured ones.

Largest 8 diffraction maxima, in order of falling intensity, 2θ from 10° to 90°:
2theta	Rel. int.	index
31.0	100	1 3 1
36.0	45	1 3 -3
31.5	32	0 0 4
52.3	23	1 3 5
36.1	22	2 0 2
61.7	19	0 6 4
51.6	16	3 3 -1
64.6	12	2 6 2

Cell and atoms:
a = 6.130 Å, b = 10.638 Å, c = 11.553 Å
α = 90.00°, β = 100.33°, γ = 90.00°
Space group C2/m (No. 12)
Symmetry-distinct sites (fractional):
Tb (0.000, 0.166, 0.000)
Pm (0.000, 0.000, 0.500)
Pm (0.000, 0.336, 0.500)
Er (0.249, 0.000, 0.247)
Er (0.249, 0.333, 0.247)

No. 4
Calculated powder X-ray diffraction pattern
Compound: Tb3Pm5Er3
Radiation: Cu Kα X-rays
Structure: DFT lattice parameters and positions (PBE)
Peak positions follow from Bragg's law for the DFT cell and can differ from measured ones.

Largest 8 diffraction maxima, in order of falling intensity, 2θ from 10° to 90°:
2theta	Rel. int.	index
33.2	100	3 1 0
27.5	96	3 0 0
30.4	88	1 1 1
41.5	80	2 2 1
35.7	74	2 1 1
31.8	56	2 2 0
48.6	50	3 2 1
63.4	50	6 0 1

Cell and atoms:
a = 11.2371 Å, b = 11.2371 Å, c = 3.4468 Å
α = 90.00°, β = 90.00°, γ = 120.00°
Space group P-62m (No. 189)
Symmetry-distinct sites (fractional):
Tb (0.0000, 0.4043, 0.0000)
Pm (0.0000, 0.6615, 0.5000)
Pm (0.3333, 0.6667, 0.5000)
Er (0.0000, 0.1593, 0.5000)

No. 5
Calculated powder X-ray diffraction pattern
Compound: TbPm3Er2Te6
Radiation: Cu Kα X-rays
Structure: DFT lattice parameters and positions (PBE)
Peak positions follow from Bragg's law for the DFT cell and can differ from measured ones.

Largest 8 diffraction maxima, in order of falling intensity, 2θ from 10° to 90°:
2theta	Rel. int.	index
28.7	100	1 1 -2
40.7	39	7 1 -2
41.4	37	0 2 0
51.2	13	6 2 0
59.4	13	2 2 -4
66.8	11	8 2 -4
67.7	11	4 2 4
75.0	8	7 3 -2

Cell and atoms:
a = 19.288 Å, b = 4.360 Å, c = 8.892 Å
α = 90.00°, β = 104.59°, γ = 90.00°
Space group C2/m (No. 12)
Symmetry-distinct sites (fractional):
Tb (0.000, 0.000, 0.000)
Pm (0.000, 0.000, 0.500)
Pm (0.164, 0.500, 0.832)
Er (0.166, 0.500, 0.330)
Te (0.004, 0.500, 0.246)
Te (0.166, 0.000, 0.090)
Te (0.170, 0.000, 0.575)

No. 6
Calculated powder X-ray diffraction pattern
Compound: TbPm2ErTh
Radiation: Cu Kα X-rays
Structure: DFT lattice parameters and positions (PBE)
Peak positions follow from Bragg's law for the DFT cell and can differ from measured ones.

Largest 8 diffraction maxima, in order of falling intensity, 2θ from 10° to 90°:
2theta	Rel. int.	index
30.0	100	1 2 0
31.5	86	3 0 0
29.8	71	2 1 1
27.9	60	2 1 -1
28.1	52	0 0 2
20.8	47	2 0 0
34.1	46	1 1 2
32.4	40	1 1 -2

Cell and atoms:
a = 8.559 Å, b = 6.360 Å, c = 6.372 Å
α = 90.00°, β = 95.12°, γ = 90.00°
Space group P2/c (No. 13)
Symmetry-distinct sites (fractional):
Tb (0.000, 0.000, 0.000)
Pm (0.312, 0.297, 0.222)
Er (0.500, 0.184, 0.750)
Th (0.000, 0.450, 0.750)